Calculated powder XRD pattern
Compound: Rb3LiW2O8
Radiation: Cu Kα (weighted mean of Kα1 and Kα2)
Structure: a crystal structure in Alexandria, relaxed with PBE+U
Neutral-atom scattering factors, no anomalous dispersion.

Top 10 peaks for 10 to 90 degrees two-theta, low angle first:
2θ/deg  Rel. int.  hkl
16.6  31  1 0 0
20.0  66  0 1 1
22.3  24  0 0 2
27.9  61  0 1 2
28.9  100  1 1 0
36.8  23  1 1 2
37.8  24  1 0 3
40.6  35  2 0 2
50.6  24  1 2 2
51.2  20  3 0 0

Crystal structure
Cell: 6.1756 6.1756 7.9764 Å, 90.00 90.00 120.00°
Space group P-3m1 (No. 164)
Symmetry-distinct sites (fractional):
Rb1 0.0000 0.0000 0.0000
Rb2 0.3333 0.6667 0.6664
Li1 0.0000 0.0000 0.5000
W1 0.3333 0.6667 0.2350
O1 0.1740 0.3480 0.3167
O2 0.3333 0.6667 0.0082